Pd3Pb2: computed powder diffraction line list (Cu Kα, 1.54184 Å), based on a GGA-PBE-relaxed structure.

Largest 10 diffraction maxima, low angle first, 10 to 90 degrees two-theta:
| (hkl) | two_theta | I (rel.) |
| --- | --- | --- |
| 1 2 1 | 26.3 | 441 |
| 2 0 0 | 26.9 | 334 |
| 2 2 0 | 31.2 | 290 |
| 0 0 2 | 32.8 | 429 |
| 0 2 2 | 36.5 | 326 |
| 1 4 1 | 38.1 | 1000 |
| 2 4 0 | 41.8 | 307 |
| 2 0 2 | 43.0 | 544 |
| 0 4 2 | 46.1 | 264 |
| 3 2 1 | 47.2 | 434 |

Crystal structure
```
data_Pd3Pb2
_chemical_formula_sum 'Pd12 Pb8'
_space_group_name_H-M_alt 'I b a m'
_space_group_IT_number 72
_space_group_name_Hall '-I 2 2c'
_cell_length_a 6.6242
_cell_length_b 11.4016
_cell_length_c 5.4564
_cell_angle_alpha 90.00
_cell_angle_beta 90.00
_cell_angle_gamma 90.00
loop_
_atom_site_label
_atom_site_type_symbol
_atom_site_fract_x
_atom_site_fract_y
_atom_site_fract_z
Pd1 Pd 0.0000 0.0000 0.2500
Pd2 Pd 0.1464 0.4107 0.0000
Pb1 Pb 0.2439 0.1655 0.0000
```

Ba4WN4Cl2: computed powder diffraction line list (Cu Kα, 1.54184 Å), based on a GGA-PBE-relaxed structure.

Largest 10 diffraction maxima, low angle first, 10 to 90 degrees two-theta:
| (hkl) | two_theta | I (rel.) |
| --- | --- | --- |
| 1 0 -3 | 25.4 | 372 |
| 2 1 -1 | 25.8 | 303 |
| 2 1 1 | 27.7 | 478 |
| 1 0 3 | 28.2 | 209 |
| 0 2 0 | 28.6 | 1000 |
| 2 1 2 | 32.0 | 298 |
| 2 1 -3 | 33.4 | 311 |
| 1 2 -3 | 38.6 | 173 |
| 4 0 -1 | 42.3 | 159 |
| 0 2 4 | 44.2 | 214 |

Crystal structure
```
data_Ba4WN4Cl2
_chemical_formula_sum 'Ba8 W2 N8 Cl4'
_space_group_name_H-M_alt 'P 1 21/m 1'
_space_group_IT_number 11
_space_group_name_Hall '-P 2yb'
_cell_length_a 8.5568
_cell_length_b 6.2409
_cell_length_c 10.9735
_cell_angle_alpha 90.00
_cell_angle_beta 98.21
_cell_angle_gamma 90.00
loop_
_atom_site_label
_atom_site_type_symbol
_atom_site_fract_x
_atom_site_fract_y
_atom_site_fract_z
Ba1 Ba 0.0059 0.2500 0.3740
Ba2 Ba 0.1853 0.7500 0.0924
Ba3 Ba 0.2847 0.2500 0.7031
Ba4 Ba 0.4473 0.2500 0.3764
W1 W 0.2312 0.7500 0.3993
N1 N 0.0381 0.7500 0.2933
N2 N 0.2484 0.5030 0.5007
N3 N 0.3903 0.7500 0.2965
Cl1 Cl 0.1560 0.2500 0.1000
Cl2 Cl 0.3182 0.7500 0.8320
```

Zr5Pd: computed powder diffraction line list (Cu Kα, 1.54184 Å), based on a GGA-PBE-relaxed structure.

Largest 10 diffraction maxima, low angle first, 10 to 90 degrees two-theta:
| (hkl) | two_theta | I (rel.) |
| --- | --- | --- |
| 1 0 3 | 35.2 | 1000 |
| 1 1 0 | 38.9 | 410 |
| 1 0 4 | 40.5 | 48 |
| 0 0 6 | 44.7 | 99 |
| 2 0 0 | 56.2 | 136 |
| 1 1 6 | 60.7 | 154 |
| 2 1 3 | 68.0 | 308 |
| 2 0 6 | 74.5 | 83 |
| 1 0 9 | 76.2 | 50 |
| 2 2 0 | 83.5 | 42 |

Crystal structure
```
data_Zr5Pd
_chemical_formula_sum 'Zr5 Pd1'
_space_group_name_H-M_alt 'P 4/m m m'
_space_group_IT_number 123
_space_group_name_Hall '-P 4 2'
_cell_length_a 3.2755
_cell_length_b 3.2755
_cell_length_c 12.1625
_cell_angle_alpha 90.00
_cell_angle_beta 90.00
_cell_angle_gamma 90.00
loop_
_atom_site_label
_atom_site_type_symbol
_atom_site_fract_x
_atom_site_fract_y
_atom_site_fract_z
Zr1 Zr 0.0000 0.0000 0.0000
Zr2 Zr 0.0000 0.0000 0.3555
Zr3 Zr 0.5000 0.5000 0.1807
Pd1 Pd 0.5000 0.5000 0.5000
```

MgIn3Ga8: computed powder diffraction line list (Cu Kα, 1.54184 Å), based on a GGA-PBE-relaxed structure.

Largest 10 diffraction maxima, low angle first, 10 to 90 degrees two-theta:
| (hkl) | two_theta | I (rel.) |
| --- | --- | --- |
| 1 1 2 | 24.4 | 489 |
| 2 1 1 | 27.6 | 559 |
| 2 0 2 | 29.6 | 507 |
| 2 2 0 | 33.1 | 700 |
| 0 0 4 | 36.5 | 437 |
| 2 1 3 | 38.0 | 290 |
| 3 1 2 | 41.6 | 1000 |
| 2 2 4 | 50.1 | 343 |
| 4 0 2 | 51.3 | 214 |
| 3 1 6 | 69.2 | 257 |

Crystal structure
```
data_MgIn3Ga8
_chemical_formula_sum 'Mg2 In6 Ga16'
_space_group_name_H-M_alt 'I -4 2 m'
_space_group_IT_number 121
_space_group_name_Hall 'I -4 2'
_cell_length_a 7.6439
_cell_length_b 7.6439
_cell_length_c 9.8518
_cell_angle_alpha 90.00
_cell_angle_beta 90.00
_cell_angle_gamma 90.00
loop_
_atom_site_label
_atom_site_type_symbol
_atom_site_fract_x
_atom_site_fract_y
_atom_site_fract_z
Mg1 Mg 0.0000 0.0000 0.0000
In1 In 0.0000 0.0000 0.5000
In2 In 0.0000 0.5000 0.2500
Ga1 Ga 0.1372 0.1372 0.2288
Ga2 Ga 0.2460 0.2460 0.9640
```

Number 2 is which compound? Ba4WN4Cl2